[1]
Structure and calculated powder X-ray diffraction pattern of CaPrSm2Sb4 (a DFT-relaxed cell (GGA-PBE, Alexandria); copper Kα).
Lines closer than 0.1° are merged.

Cell and atoms:
abc: 9.016 12.760 9.008
angles: 90.00 90.00 90.00
Space group Fmm2 (No. 42)
Inequivalent atoms, fractional coordinates:
1 Ca 0.000 0.000 0.000 x4
2 Pr 0.000 0.000 0.500 x4
3 Sm 0.250 0.250 0.251 x8
4 Sb 0.000 0.249 0.501 x8
5 Sb 0.250 0.000 0.250 x8

Most intense lines, 2θ from 15° to 90°, sorted by position:
d [Å], Position (°2θ), I/Imax, hkl
5.701, 15.5, 56, 1 1 1
3.188, 28.0, 1000, 2 0 2
2.254, 40.0, 763, 4 0 0
1.840, 49.5, 273, 4 4 0
1.594, 57.9, 128, 4 0 4
1.426, 65.5, 349, 6 0 2
1.301, 72.7, 257, 6 4 2
1.127, 86.3, 69, 8 0 0

[2]
Structure and calculated powder X-ray diffraction pattern of Ca3Pr4Se8 (a DFT-relaxed cell (GGA-PBE, Alexandria); copper Kα).
Lines closer than 0.1° are merged.

Cell and atoms:
abc: 11.964 11.986 8.475
angles: 90.00 134.80 90.00
Space group C2/m (No. 12)
Inequivalent atoms, fractional coordinates:
1 Ca 0.000 0.000 0.000 x2
2 Ca 0.250 0.250 0.000 x4
3 Pr 0.000 0.000 0.500 x2
4 Pr 0.000 0.500 0.000 x2
5 Pr 0.250 0.250 0.500 x4
6 Se 0.000 0.248 0.000 x4
7 Se 0.000 0.251 0.500 x4
8 Se 0.248 0.000 0.997 x4
9 Se 0.250 0.000 0.497 x4

Most intense lines, 2θ from 15° to 90°, sorted by position:
d [Å], Position (°2θ), I/Imax, hkl
3.616, 24.6, 163, 1 3 -1
3.006, 29.7, 506, 0 0 2
2.994, 29.8, 1000, 0 4 0
2.121, 42.6, 744, 4 0 0
2.117, 42.7, 369, 4 4 -2
1.731, 52.9, 390, 4 4 0
1.344, 70.0, 124, 4 0 2
1.341, 70.2, 124, 0 8 2

[3]
Structure and calculated powder X-ray diffraction pattern of CaPr3Se6 (a DFT-relaxed cell (GGA-PBE, Alexandria); copper Kα).
Lines closer than 0.1° are merged.

Cell and atoms:
abc: 7.238 7.907 12.247
angles: 90.00 122.64 90.00
Space group P2_1/c (No. 14)
Inequivalent atoms, fractional coordinates:
1 Ca 0.000 0.000 0.000 x2
2 Pr 0.198 0.103 0.738 x4
3 Pr 0.500 0.000 0.500 x2
4 Se 0.099 0.182 0.427 x4
5 Se 0.233 0.686 0.409 x4
6 Se 0.423 0.079 0.244 x4

Most intense lines, 2θ from 15° to 90°, sorted by position:
d [Å], Position (°2θ), I/Imax, hkl
3.794, 23.5, 800, 1 1 1
3.625, 24.6, 934, 1 1 -3
3.182, 28.0, 1000, 2 1 -1
3.033, 29.5, 627, 1 0 -4
2.832, 31.6, 586, 1 1 -4
2.477, 36.3, 743, 1 3 -1
2.160, 41.8, 556, 0 2 4
2.060, 44.0, 668, 3 1 -5

[4]
Structure and calculated powder X-ray diffraction pattern of CaPr8Se12 (a DFT-relaxed cell (GGA-PBE, Alexandria); copper Kα).
Lines closer than 0.1° are merged.

Cell and atoms:
abc: 12.749 12.758 14.906
angles: 90.00 115.29 90.00
Space group Cc (No. 9)
Inequivalent atoms, fractional coordinates:
1 Ca 0.000 0.188 0.000 x4
2 Pr 0.043 0.065 0.333 x4
3 Pr 0.148 0.372 0.417 x4
4 Pr 0.164 0.312 0.833 x4
5 Pr 0.208 0.435 0.167 x4
6 Pr 0.313 0.125 0.249 x4
7 Pr 0.331 0.187 0.665 x4
8 Pr 0.374 0.063 0.999 x4
9 Pr 0.478 0.377 0.082 x4
10 Se 0.039 0.429 0.949 x4
11 Se 0.094 0.249 0.216 x4
12 Se 0.120 0.323 0.617 x4
13 Se 0.162 0.003 0.049 x4
14 Se 0.203 0.075 0.782 x4
15 Se 0.265 0.252 0.050 x4
16 Se 0.291 0.174 0.451 x4
17 Se 0.326 0.497 0.882 x4
18 Se 0.368 0.426 0.618 x4
19 Se 0.429 0.249 0.882 x4
20 Se 0.453 0.326 0.285 x4
21 Se 0.495 0.000 0.215 x4

Most intense lines, 2θ from 15° to 90°, sorted by position:
d [Å], Position (°2θ), I/Imax, hkl
3.677, 24.2, 326, 2 0 -4
2.851, 31.4, 1000, 3 3 -3
2.842, 31.5, 510, 1 1 4
2.408, 37.4, 916, 4 2 1
2.015, 45.0, 159, 6 2 -3
1.920, 47.3, 226, 6 0 -6
1.766, 51.8, 171, 3 5 3
1.463, 63.6, 179, 5 7 -4

[5]
Structure and calculated powder X-ray diffraction pattern of CaPr4Se6 (a DFT-relaxed cell (GGA-PBE, Alexandria); copper Kα).
Lines closer than 0.1° are merged.

Cell and atoms:
abc: 11.9332 11.9332 14.3355
angles: 90.00 90.00 120.00
Space group R-3c (No. 167, hexagonal axes)
Inequivalent atoms, fractional coordinates:
1 Ca 0.0000 0.0000 0.0000 x6
2 Pr 0.0000 0.0000 0.2500 x6
3 Pr 0.0000 0.3877 0.2500 x18
4 Se 0.0293 0.2048 0.3853 x36

Most intense lines, 2θ from 15° to 90°, sorted by position:
d [Å], Position (°2θ), I/Imax, hkl
3.445, 25.9, 432, 3 0 0
2.945, 30.4, 466, 0 2 4
2.811, 31.8, 1000, 1 3 1
2.641, 33.9, 577, 2 1 4
2.531, 35.5, 935, 2 2 3
2.253, 40.0, 440, 2 3 2
1.977, 45.9, 347, 3 2 4
1.446, 64.4, 324, 5 3 2

[6]
Structure and calculated powder X-ray diffraction pattern of Ca3PrSm3Se8 (a DFT-relaxed cell (GGA-PBE, Alexandria); copper Kα).
Lines closer than 0.1° are merged.

Cell and atoms:
abc: 8.3582 8.3582 20.6650
angles: 90.00 90.00 120.00
Space group R-3m (No. 166, hexagonal axes)
Inequivalent atoms, fractional coordinates:
1 Ca 0.0000 0.5000 0.0000 x9
2 Pr 0.0000 0.0000 0.5000 x3
3 Sm 0.0000 0.5000 0.5000 x9
4 Se 0.0000 0.0000 0.2503 x6
5 Se 0.0047 0.5024 0.7495 x18

Most intense lines, 2θ from 15° to 90°, sorted by position:
d [Å], Position (°2θ), I/Imax, hkl
3.565, 25.0, 188, 0 2 1
2.964, 30.1, 1000, 0 2 4
2.103, 43.0, 372, 2 0 8
2.090, 43.3, 365, 2 2 0
1.708, 53.7, 192, 4 0 4
1.329, 70.9, 165, 2 2 12
1.322, 71.3, 162, 2 4 4
1.209, 79.2, 121, 4 2 8